Entry 1:
Theoretical powder diffractogram
Compound: Er3S2NO
Radiation: Cu Kα, 1.54184 Å
Structure: a cell relaxed with GGA-PBE

Structure:
abc: 7.7316 7.7316 9.4050
angles: 99.27 99.27 28.25
Atoms (fractional coordinates):
Er 0.0527 0.0527 0.2635
Er 0.1976 0.1976 0.6715
Er 0.3896 0.3896 0.0569
Er 0.6104 0.6104 0.9431
Er 0.8024 0.8024 0.3285
Er 0.9473 0.9473 0.7365
S 0.2152 0.2152 0.1513
S 0.3646 0.3646 0.5301
S 0.6354 0.6354 0.4699
S 0.7848 0.7848 0.8487
N 0.0948 0.0948 0.8043
N 0.9052 0.9052 0.1957
O 0.4597 0.4597 0.8612
O 0.5403 0.5403 0.1388

Largest 6 diffraction maxima, by angle, 2θ from 15° to 90°:
two_theta, I/Imax
27.42, 37
28.26, 43
30.42, 40
31.79, 100
38.67, 34
47.08, 31

***

Entry 2:
Theoretical powder diffractogram
Compound: LiSnGeIr
Radiation: Cu Kα, 1.54184 Å
Structure: a cell relaxed with GGA-PBE

Structure:
abc: 4.5164 4.5164 4.5164
angles: 60.00 60.00 60.00
Atoms (fractional coordinates):
Li 0.0000 0.0000 0.0000
Sn 0.2500 0.2500 0.2500
Ge 0.7500 0.7500 0.7500
Ir 0.5000 0.5000 0.5000

Largest 6 diffraction maxima, by angle, 2θ from 15° to 90°:
two_theta, I/Imax
24.13, 57
39.92, 100
47.19, 29
57.74, 17
63.49, 12
72.50, 35

***

Entry 3:
Theoretical powder diffractogram
Compound: BaTa8P4
Radiation: Cu Kα, 1.54184 Å
Structure: a cell relaxed with GGA-PBE

Structure:
abc: 8.7539 8.7539 8.7539
angles: 92.36 92.36 156.58
Atoms (fractional coordinates):
Ba 0.0000 0.0000 0.0000
Ta 0.0189 0.6293 0.6481
Ta 0.2280 0.3368 0.5647
Ta 0.3368 0.7720 0.1088
Ta 0.3707 0.0189 0.3896
Ta 0.6293 0.9811 0.6104
Ta 0.6632 0.2280 0.8912
Ta 0.7720 0.6632 0.4353
Ta 0.9811 0.3707 0.3519
P 0.2447 0.5817 0.8264
P 0.4183 0.2447 0.6630
P 0.5817 0.7553 0.3370
P 0.7553 0.4183 0.1736

Largest 6 diffraction maxima, by angle, 2θ from 15° to 90°:
two_theta, I/Imax
23.20, 39
33.59, 84
36.80, 27
39.80, 100
43.53, 49
45.28, 45

***

Entry 4:
Theoretical powder diffractogram
Compound: Cu2Ag3
Radiation: Cu Kα, 1.54184 Å
Structure: a cell relaxed with GGA-PBE

Structure:
abc: 22.3212 22.3212 22.3212
angles: 7.33 7.33 7.33
Atoms (fractional coordinates):
Cu 0.0000 0.0000 0.0000
Cu 0.0934 0.0934 0.0934
Cu 0.3049 0.3049 0.3049
Cu 0.6951 0.6951 0.6951
Ag 0.1991 0.1991 0.1991
Ag 0.3944 0.3944 0.3944
Ag 0.4958 0.4958 0.4958
Ag 0.6058 0.6058 0.6058
Ag 0.7924 0.7924 0.7924
Ag 0.9025 0.9025 0.9025

Largest 6 diffraction maxima, by angle, 2θ from 15° to 90°:
two_theta, I/Imax
36.32, 15
38.87, 100
40.52, 16
43.27, 15
45.69, 47
65.44, 21

***

Entry 5:
Theoretical powder diffractogram
Compound: AlCdGaSe2S2
Radiation: Cu Kα, 1.54184 Å
Structure: a cell relaxed with GGA-PBE

Structure:
abc: 6.6557 6.6557 5.6853
angles: 114.50 114.50 106.17
Atoms (fractional coordinates):
Al 0.0000 0.0000 0.0000
Cd 0.4977 0.5023 0.0000
Ga 0.2404 0.7596 0.5000
Se 0.0788 0.3624 0.4615
Se 0.6376 0.9212 0.5385
S 0.3474 0.0911 0.9824
S 0.9089 0.6526 0.0176

Largest 6 diffraction maxima, by angle, 2θ from 15° to 90°:
two_theta, I/Imax
17.69, 34
27.41, 100
27.92, 82
44.04, 26
46.37, 39
46.77, 40

***

Entry 6:
Theoretical powder diffractogram
Compound: RbLi3Lu6
Radiation: Cu Kα, 1.54184 Å
Structure: a cell relaxed with GGA-PBE

Structure:
abc: 8.2188 8.2188 8.2188
angles: 119.54 119.54 90.79
Atoms (fractional coordinates):
Rb 0.0000 0.0000 0.0000
Li 0.2500 0.7500 0.5000
Li 0.5000 0.5000 0.0000
Li 0.7500 0.2500 0.5000
Lu 0.0000 0.3156 0.3156
Lu 0.0000 0.6844 0.6844
Lu 0.2437 0.2437 0.0000
Lu 0.3156 0.0000 0.3156
Lu 0.6844 0.0000 0.6844
Lu 0.7563 0.7563 0.0000

Largest 6 diffraction maxima, by angle, 2θ from 15° to 90°:
two_theta, I/Imax
21.48, 56
21.63, 94
25.27, 37
30.99, 46
33.40, 69
34.32, 100

***

Entry 7:
Theoretical powder diffractogram
Compound: GaNi15
Radiation: Cu Kα, 1.54184 Å
Structure: a cell relaxed with GGA-PBE

Structure:
abc: 3.5043 3.5045 41.3220
angles: 90.00 90.00 90.00
Atoms (fractional coordinates):
Ga 0.0000 0.0000 0.0000
Ga 0.0000 0.5000 0.3581
Ni 0.0000 0.0000 0.4028
Ni 0.0000 0.0000 0.4877
Ni 0.0000 0.0000 0.5726
Ni 0.0000 0.0000 0.6578
Ni 0.0000 0.0000 0.7427
Ni 0.0000 0.0000 0.8278
Ni 0.0000 0.0000 0.9123
Ni 0.0000 0.5000 0.4455
Ni 0.0000 0.5000 0.5302
Ni 0.0000 0.5000 0.6153
Ni 0.0000 0.5000 0.7003
Ni 0.0000 0.5000 0.7852
Ni 0.0000 0.5000 0.8702
Ni 0.0000 0.5000 0.9553
Ni 0.5000 0.0000 0.3596
Ni 0.5000 0.0000 0.4449
Ni 0.5000 0.0000 0.5304
Ni 0.5000 0.0000 0.6152
Ni 0.5000 0.0000 0.7003
Ni 0.5000 0.0000 0.7852
Ni 0.5000 0.0000 0.8702
Ni 0.5000 0.0000 0.9553
Ni 0.5000 0.5000 0.4028
Ni 0.5000 0.5000 0.4877
Ni 0.5000 0.5000 0.5726
Ni 0.5000 0.5000 0.6578
Ni 0.5000 0.5000 0.7428
Ni 0.5000 0.5000 0.8276
Ni 0.5000 0.5000 0.9129
Ni 0.5000 0.5000 0.9984

Largest 6 diffraction maxima, by angle, 2θ from 15° to 90°:
two_theta, I/Imax
43.76, 47
45.07, 100
52.22, 45
75.84, 14
76.97, 13
77.77, 13

***

Entry 8:
Theoretical powder diffractogram
Compound: GdSc3Pb2C2
Radiation: Cu Kα, 1.54184 Å
Structure: a cell relaxed with GGA-PBE

Structure:
abc: 3.4673 3.4673 15.5034
angles: 90.00 90.00 120.00
Atoms (fractional coordinates):
Gd 0.0000 0.0000 0.0000
Sc 0.0000 0.0000 0.3464
Sc 0.3333 0.6667 0.4996
Sc 0.3333 0.6667 0.8336
Pb 0.0000 0.0000 0.6661
Pb 0.3333 0.6667 0.1806
C 0.6667 0.3333 0.4231
C 0.6667 0.3333 0.9088

Largest 6 diffraction maxima, by angle, 2θ from 15° to 90°:
two_theta, I/Imax
29.75, 23
30.32, 25
34.55, 100
34.72, 19
52.81, 21
62.12, 20